Diffraction record for Rb3Ce3PmS8. The powder XRD pattern is simulated, not measured: it uses a DFT-relaxed cell (GGA-PBE, Alexandria) and Cu Kα.
Neutral-atom scattering factors, no anomalous dispersion.

Main lines, in order of rising 2θ (2θ = 10–90°):
- d = 7.756 Å, 2θ = 11.41°, rel. 44
- d = 3.878 Å, 2θ = 22.93°, rel. 20
- d = 3.460 Å, 2θ = 25.75°, rel. 37
- d = 3.076 Å, 2θ = 29.03°, rel. 100
- d = 2.268 Å, 2θ = 39.74°, rel. 35
- d = 2.092 Å, 2θ = 43.25°, rel. 34
- d = 1.958 Å, 2θ = 46.38°, rel. 14
- d = 1.841 Å, 2θ = 49.51°, rel. 17
- d = 1.730 Å, 2θ = 52.93°, rel. 18
- d = 1.333 Å, 2θ = 70.66°, rel. 15

Crystal structure
```
data_Rb3Ce3PmS8
_space_group_name_H-M_alt 'R -3 m'
_space_group_IT_number 166
_space_group_name_Hall '-R 3 2"'
_cell_length_a 8.3680
_cell_length_b 8.3680
_cell_length_c 23.2686
_cell_angle_alpha 90.00
_cell_angle_beta 90.00
_cell_angle_gamma 120.00
loop_
_atom_site_label
_atom_site_fract_x
_atom_site_fract_y
_atom_site_fract_z
Rb1 0.0000 0.5000 0.0000
Ce1 0.0000 0.5000 0.5000
Pm1 0.0000 0.0000 0.5000
S1 0.0000 0.0000 0.2311
S2 0.0017 0.5008 0.7705
```

Diffraction record for Rb3CePm3S8. The powder XRD pattern is simulated, not measured: it uses a DFT-relaxed cell (GGA-PBE, Alexandria) and Cu Kα.
Neutral-atom scattering factors, no anomalous dispersion.

Main lines, in order of rising 2θ (2θ = 10–90°):
- d = 7.803 Å, 2θ = 11.34°, rel. 47
- d = 3.902 Å, 2θ = 22.79°, rel. 21
- d = 3.441 Å, 2θ = 25.89°, rel. 38
- d = 3.066 Å, 2θ = 29.12°, rel. 100
- d = 2.450 Å, 2θ = 36.68°, rel. 13
- d = 2.271 Å, 2θ = 39.69°, rel. 35
- d = 2.079 Å, 2θ = 43.54°, rel. 34
- d = 1.963 Å, 2θ = 46.26°, rel. 14
- d = 1.721 Å, 2θ = 53.24°, rel. 17
- d = 1.325 Å, 2θ = 71.13°, rel. 15

Crystal structure
```
data_Rb3CePm3S8
_space_group_name_H-M_alt 'C 1 2/m 1'
_space_group_IT_number 12
_cell_length_a 14.4021
_cell_length_b 8.3134
_cell_length_c 9.1654
_cell_angle_alpha 90.00
_cell_angle_beta 121.64
_cell_angle_gamma 90.00
loop_
_space_group_symop_operation_xyz
'x,y,z'
'-x,-y,-z'
'-x,y,-z'
'x,-y,z'
'x+1/2,y+1/2,z'
'-x+1/2,-y+1/2,-z'
'-x+1/2,y+1/2,-z'
'x+1/2,-y+1/2,z'
loop_
_atom_site_label
_atom_site_fract_x
_atom_site_fract_y
_atom_site_fract_z
Rb1 0.0000 0.0000 0.0000
Rb2 0.2500 0.2500 0.0000
Ce1 0.0000 0.0000 0.5000
Pm1 0.0000 0.5000 0.5000
Pm2 0.2500 0.2500 0.5000
S1 0.0182 0.2429 0.3121
S2 0.2247 0.0000 0.6879
S3 0.2317 0.5000 0.6948
```

Diffraction record for Rb3Ce3PmSe8. The powder XRD pattern is simulated, not measured: it uses a DFT-relaxed cell (GGA-PBE, Alexandria) and Cu Kα.
Neutral-atom scattering factors, no anomalous dispersion.

Main lines, in order of rising 2θ (2θ = 10–90°):
- d = 8.308 Å, 2θ = 10.65°, rel. 48
- d = 2.763 Å, 2θ = 32.41°, rel. 100
- d = 2.616 Å, 2θ = 34.28°, rel. 51
- d = 2.495 Å, 2θ = 36.00°, rel. 11
- d = 2.216 Å, 2θ = 40.71°, rel. 23
- d = 1.850 Å, 2θ = 49.27°, rel. 18
- d = 1.627 Å, 2θ = 56.58°, rel. 11
- d = 1.537 Å, 2θ = 60.21°, rel. 33
- d = 1.420 Å, 2θ = 65.75°, rel. 10
- d = 1.170 Å, 2θ = 82.45°, rel. 8

Crystal structure
```
data_Rb3Ce3PmSe8
_space_group_name_H-M_alt 'C 1 2/m 1'
_space_group_IT_number 12
_cell_length_a 10.4641
_cell_length_b 10.4616
_cell_length_c 8.3076
_cell_angle_alpha 90.00
_cell_angle_beta 90.05
_cell_angle_gamma 90.00
loop_
_space_group_symop_operation_xyz
'x,y,z'
'-x,-y,-z'
'-x,y,-z'
'x,-y,z'
'x+1/2,y+1/2,z'
'-x+1/2,-y+1/2,-z'
'-x+1/2,y+1/2,-z'
'x+1/2,-y+1/2,z'
loop_
_atom_site_label
_atom_site_fract_x
_atom_site_fract_y
_atom_site_fract_z
Rb1 0.0000 0.0000 0.0000
Rb2 0.2500 0.2500 0.0000
Ce1 0.0000 0.5000 0.5000
Ce2 0.2500 0.2500 0.5000
Pm1 0.0000 0.0000 0.5000
Se1 0.9998 0.2505 0.3004
Se2 0.2493 0.5000 0.3004
Se3 0.2503 0.0000 0.3004
```

Diffraction record for Rb4CePm3Se8. The powder XRD pattern is simulated, not measured: it uses a DFT-relaxed cell (GGA-PBE, Alexandria) and Cu Kα.
Neutral-atom scattering factors, no anomalous dispersion.

Main lines, in order of rising 2θ (2θ = 10–90°):
- d = 8.006 Å, 2θ = 11.05°, rel. 23
- d = 3.201 Å, 2θ = 27.87°, rel. 100
- d = 2.542 Å, 2θ = 35.31°, rel. 10
- d = 2.352 Å, 2θ = 38.27°, rel. 34
- d = 2.184 Å, 2θ = 41.33°, rel. 37
- d = 1.804 Å, 2θ = 50.59°, rel. 19
- d = 1.601 Å, 2θ = 57.59°, rel. 12
- d = 1.476 Å, 2θ = 62.99°, rel. 11
- d = 1.391 Å, 2θ = 67.31°, rel. 16
- d = 1.291 Å, 2θ = 73.32°, rel. 14

Crystal structure
```
data_Rb4CePm3Se8
_space_group_name_H-M_alt 'R -3 m'
_space_group_IT_number 166
_space_group_name_Hall '-R 3 2"'
_cell_length_a 8.7370
_cell_length_b 8.7370
_cell_length_c 24.0186
_cell_angle_alpha 90.00
_cell_angle_beta 90.00
_cell_angle_gamma 120.00
loop_
_atom_site_label
_atom_site_fract_x
_atom_site_fract_y
_atom_site_fract_z
Rb1 0.0000 0.0000 0.0000
Rb2 0.0000 0.5000 0.0000
Ce1 0.0000 0.0000 0.5000
Pm1 0.0000 0.5000 0.5000
Se1 0.0000 0.0000 0.2332
Se2 0.0019 0.5010 0.7668
```

Diffraction record for CePmRe4. The powder XRD pattern is simulated, not measured: it uses a DFT-relaxed cell (GGA-PBE, Alexandria) and Cu Kα.
Neutral-atom scattering factors, no anomalous dispersion.

Main lines, in order of rising 2θ (2θ = 10–90°):
- d = 4.479 Å, 2θ = 19.82°, rel. 15
- d = 2.743 Å, 2θ = 32.65°, rel. 20
- d = 2.339 Å, 2θ = 38.49°, rel. 100
- d = 2.239 Å, 2θ = 40.27°, rel. 49
- d = 1.939 Å, 2θ = 46.85°, rel. 9
- d = 1.583 Å, 2θ = 58.27°, rel. 8
- d = 1.493 Å, 2θ = 62.18°, rel. 33
- d = 1.371 Å, 2θ = 68.41°, rel. 30
- d = 1.183 Å, 2θ = 81.34°, rel. 12
- d = 1.169 Å, 2θ = 82.48°, rel. 19

Crystal structure
```
data_CePmRe4
_space_group_name_H-M_alt 'F -4 3 m'
_space_group_IT_number 216
_space_group_name_Hall 'F -4 2 3'
_cell_length_a 7.7573
_cell_length_b 7.7573
_cell_length_c 7.7573
_cell_angle_alpha 90.00
_cell_angle_beta 90.00
_cell_angle_gamma 90.00
loop_
_atom_site_label
_atom_site_fract_x
_atom_site_fract_y
_atom_site_fract_z
Ce1 0.0000 0.0000 0.0000
Pm1 0.2500 0.2500 0.2500
Re1 0.1250 0.1250 0.6250
```

Diffraction record for CePm4Rh3. The powder XRD pattern is simulated, not measured: it uses a DFT-relaxed cell (GGA-PBE, Alexandria) and Cu Kα.
Neutral-atom scattering factors, no anomalous dispersion.

Main lines, in order of rising 2θ (2θ = 10–90°):
- d = 3.082 Å, 2θ = 28.97°, rel. 31
- d = 2.790 Å, 2θ = 32.08°, rel. 97
- d = 2.705 Å, 2θ = 33.12°, rel. 52
- d = 2.523 Å, 2θ = 35.58°, rel. 62
- d = 2.501 Å, 2θ = 35.90°, rel. 100
- d = 2.439 Å, 2θ = 36.85°, rel. 48
- d = 2.081 Å, 2θ = 43.49°, rel. 24
- d = 1.717 Å, 2θ = 53.34°, rel. 23
- d = 1.643 Å, 2θ = 55.97°, rel. 28
- d = 1.596 Å, 2θ = 57.78°, rel. 21

Crystal structure
```
data_CePm4Rh3
_space_group_name_H-M_alt 'I 4/m c m'
_space_group_IT_number 140
_space_group_name_Hall '-I 4 2c'
_cell_length_a 11.2834
_cell_length_b 11.2834
_cell_length_c 6.1636
_cell_angle_alpha 90.00
_cell_angle_beta 90.00
_cell_angle_gamma 90.00
loop_
_atom_site_label
_atom_site_fract_x
_atom_site_fract_y
_atom_site_fract_z
Ce1 0.0000 0.5000 0.2500
Pm1 0.0852 0.2098 0.0000
Rh1 0.0000 0.0000 0.2500
Rh2 0.1494 0.3506 0.5000
```

Diffraction record for CePm4Rh2. The powder XRD pattern is simulated, not measured: it uses a DFT-relaxed cell (GGA-PBE, Alexandria) and Cu Kα.
Neutral-atom scattering factors, no anomalous dispersion.

Main lines, in order of rising 2θ (2θ = 10–90°):
- d = 4.135 Å, 2θ = 21.49°, rel. 13
- d = 3.396 Å, 2θ = 26.24°, rel. 51
- d = 2.690 Å, 2θ = 33.31°, rel. 100
- d = 2.255 Å, 2θ = 39.98°, rel. 15
- d = 2.190 Å, 2θ = 41.23°, rel. 45
- d = 2.109 Å, 2θ = 42.89°, rel. 14
- d = 1.698 Å, 2θ = 54.00°, rel. 20
- d = 1.660 Å, 2θ = 55.36°, rel. 13
- d = 1.553 Å, 2θ = 59.52°, rel. 19
- d = 1.436 Å, 2θ = 64.94°, rel. 23

Crystal structure
```
data_CePm4Rh2
_space_group_name_H-M_alt 'R -3 m'
_space_group_IT_number 166
_space_group_name_Hall '-R 3 2"'
_cell_length_a 5.3802
_cell_length_b 5.3802
_cell_length_c 24.8076
_cell_angle_alpha 90.00
_cell_angle_beta 90.00
_cell_angle_gamma 120.00
loop_
_atom_site_label
_atom_site_fract_x
_atom_site_fract_y
_atom_site_fract_z
Ce1 0.0000 0.0000 0.0000
Pm1 0.0000 0.0000 0.2103
Pm2 0.0000 0.0000 0.4075
Rh1 0.0000 0.0000 0.0991
```

Diffraction record for Ce5PmRh5. The powder XRD pattern is simulated, not measured: it uses a DFT-relaxed cell (GGA-PBE, Alexandria) and Cu Kα.
Neutral-atom scattering factors, no anomalous dispersion.

Main lines, in order of rising 2θ (2θ = 10–90°):
- d = 2.840 Å, 2θ = 31.51°, rel. 100
- d = 2.014 Å, 2θ = 45.01°, rel. 12
- d = 2.009 Å, 2θ = 45.13°, rel. 49
- d = 1.998 Å, 2θ = 45.40°, rel. 12
- d = 1.644 Å, 2θ = 55.93°, rel. 13
- d = 1.635 Å, 2θ = 56.27°, rel. 13
- d = 1.272 Å, 2θ = 74.61°, rel. 16
- d = 1.269 Å, 2θ = 74.79°, rel. 10
- d = 1.162 Å, 2θ = 83.14°, rel. 12
- d = 1.156 Å, 2θ = 83.69°, rel. 8

Crystal structure
```
data_Ce5PmRh5
_space_group_name_H-M_alt 'C 1 2/m 1'
_space_group_IT_number 12
_cell_length_a 12.6459
_cell_length_b 5.6897
_cell_length_c 8.0569
_cell_angle_alpha 90.00
_cell_angle_beta 108.57
_cell_angle_gamma 90.00
loop_
_space_group_symop_operation_xyz
'x,y,z'
'-x,-y,-z'
'-x,y,-z'
'x,-y,z'
'x+1/2,y+1/2,z'
'-x+1/2,-y+1/2,-z'
'-x+1/2,y+1/2,-z'
'x+1/2,-y+1/2,z'
loop_
_atom_site_label
_atom_site_fract_x
_atom_site_fract_y
_atom_site_fract_z
Ce1 0.0000 0.0000 0.0000
Ce2 0.1658 0.5000 0.8311
Ce3 0.1700 0.5000 0.3389
Pm1 0.0000 0.0000 0.5000
Rh1 0.0000 0.5000 0.5000
Rh2 0.1650 0.0000 0.3180
Rh3 0.1719 0.0000 0.8486
```